Diffraction record for Dy2Co15Cu2. The powder diffractogram is computed, not measured: it uses a crystal structure in Alexandria, relaxed with PBE and copper Kα.

Structure:
```
data_Dy2Co15Cu2
_cell_length_a 8.3573
_cell_length_b 8.3573
_cell_length_c 12.0275
_cell_angle_alpha 90.00
_cell_angle_beta 90.00
_cell_angle_gamma 120.00
_space_group_name_H-M_alt 'R -3 m'
_space_group_IT_number 166
_space_group_name_Hall '-R 3 2"'
loop_
_atom_site_label
_atom_site_type_symbol
_atom_site_fract_x
_atom_site_fract_y
_atom_site_fract_z
Dy1 Dy 0.0000 0.0000 0.1564
Co1 Co 0.0000 0.2884 0.5000
Co2 Co 0.0000 0.5000 0.0000
Co3 Co 0.0018 0.5009 0.6521
Cu1 Cu 0.0000 0.0000 0.3986
```

Main lines, sorted by position (10 to 80 degrees two-theta):
- 2.893 Å, rel. 378, hkl 1 1 3
- 2.413 Å, rel. 461, hkl 3 0 0
- 2.313 Å, rel. 376, hkl 0 2 4
- 2.089 Å, rel. 715, hkl 2 2 0
- 2.067 Å, rel. 1000, hkl 0 3 3
- 2.023 Å, rel. 233, hkl 2 1 4
- 2.004 Å, rel. 488, hkl 0 0 6
- 1.853 Å, rel. 220, hkl 2 2 3
- 1.454 Å, rel. 207, hkl 3 2 4
- 1.206 Å, rel. 177, hkl 6 0 0

***

Diffraction record for Ba4I3N. The powder diffractogram is computed, not measured: it uses a crystal structure in Alexandria, relaxed with PBE and copper Kα.

Structure:
```
data_Ba4I3N
_cell_length_a 7.989
_cell_length_b 11.430
_cell_length_c 8.399
_cell_angle_alpha 90.00
_cell_angle_beta 90.00
_cell_angle_gamma 90.00
_space_group_name_H-M_alt 'I m m 2'
_space_group_IT_number 44
loop_
_space_group_symop_operation_xyz
'x,y,z'
'-x,-y,z'
'-x,y,z'
'x,-y,z'
'x+1/2,y+1/2,z+1/2'
'-x+1/2,-y+1/2,z+1/2'
'-x+1/2,y+1/2,z+1/2'
'x+1/2,-y+1/2,z+1/2'
loop_
_atom_site_label
_atom_site_type_symbol
_atom_site_fract_x
_atom_site_fract_y
_atom_site_fract_z
Ba1 Ba 0.000 0.193 0.000
Ba2 Ba 0.234 0.000 0.341
I1 I 0.000 0.231 0.566
I2 I 0.000 0.500 0.186
N1 N 0.000 0.000 0.134
```

Main lines, sorted by position (10 to 80 degrees two-theta):
- 6.768 Å, rel. 276, hkl 0 1 1
- 4.067 Å, rel. 464, hkl 1 2 1
- 3.470 Å, rel. 311, hkl 0 3 1
- 3.440 Å, rel. 1000, hkl 1 3 0
- 3.384 Å, rel. 907, hkl 0 2 2
- 3.274 Å, rel. 632, hkl 2 2 0
- 2.894 Å, rel. 692, hkl 2 0 2
- 2.858 Å, rel. 309, hkl 0 4 0
- 2.582 Å, rel. 305, hkl 2 2 2
- 2.034 Å, rel. 307, hkl 2 4 2

***

Diffraction record for LiZnAg14. The powder diffractogram is computed, not measured: it uses a crystal structure in Alexandria, relaxed with PBE and copper Kα.

Structure:
```
data_LiZnAg14
_cell_length_a 9.413
_cell_length_b 5.924
_cell_length_c 10.058
_cell_angle_alpha 90.00
_cell_angle_beta 90.00
_cell_angle_gamma 90.00
_space_group_name_H-M_alt 'A m m 2'
_space_group_IT_number 38
loop_
_space_group_symop_operation_xyz
'x,y,z'
'-x,-y,z'
'-x,y,z'
'x,-y,z'
'x,y+1/2,z+1/2'
'-x,-y+1/2,z+1/2'
'-x,y+1/2,z+1/2'
'x,-y+1/2,z+1/2'
loop_
_atom_site_label
_atom_site_type_symbol
_atom_site_fract_x
_atom_site_fract_y
_atom_site_fract_z
Li1 Li 0.000 0.000 0.000
Zn1 Zn 0.000 0.000 0.501
Ag1 Ag 0.000 0.249 0.752
Ag2 Ag 0.242 0.250 0.079
Ag3 Ag 0.245 0.000 0.331
Ag4 Ag 0.249 0.000 0.831
Ag5 Ag 0.500 0.000 0.160
Ag6 Ag 0.500 0.000 0.660
Ag7 Ag 0.500 0.249 0.411
```

Main lines, sorted by position (10 to 80 degrees two-theta):
- 2.463 Å, rel. 318, hkl 1 2 2
- 2.429 Å, rel. 177, hkl 1 0 4
- 2.353 Å, rel. 456, hkl 4 0 0
- 2.243 Å, rel. 1000, hkl 2 2 2
- 2.218 Å, rel. 422, hkl 2 0 4
- 1.980 Å, rel. 159, hkl 3 2 2
- 1.459 Å, rel. 188, hkl 0 2 6
- 1.336 Å, rel. 170, hkl 6 2 2
- 1.240 Å, rel. 214, hkl 4 2 6
- 1.232 Å, rel. 117, hkl 2 4 4

***

Diffraction record for Dy4SnHgC. The powder diffractogram is computed, not measured: it uses a crystal structure in Alexandria, relaxed with PBE and copper Kα.

Structure:
```
data_Dy4SnHgC
_cell_length_a 6.927
_cell_length_b 15.137
_cell_length_c 6.911
_cell_angle_alpha 90.00
_cell_angle_beta 90.00
_cell_angle_gamma 90.00
_space_group_name_H-M_alt 'C m c m'
_space_group_IT_number 63
_space_group_name_Hall '-C 2c 2'
loop_
_atom_site_label
_atom_site_type_symbol
_atom_site_fract_x
_atom_site_fract_y
_atom_site_fract_z
Dy1 Dy 0.000 0.083 0.250
Dy2 Dy 0.000 0.411 0.250
Dy3 Dy 0.250 0.250 0.000
Sn1 Sn 0.000 0.383 0.750
Hg1 Hg 0.000 0.117 0.750
C1 C 0.000 0.249 0.250
```

Main lines, sorted by position (10 to 80 degrees two-theta):
- 7.569 Å, rel. 118, hkl 0 2 0
- 3.459 Å, rel. 192, hkl 2 0 0
- 3.146 Å, rel. 664, hkl 2 2 0
- 2.574 Å, rel. 150, hkl 1 5 1
- 2.553 Å, rel. 1000, hkl 2 4 0
- 2.523 Å, rel. 211, hkl 0 6 0
- 2.446 Å, rel. 654, hkl 2 0 2
- 1.756 Å, rel. 285, hkl 2 6 2
- 1.516 Å, rel. 156, hkl 4 2 2
- 1.432 Å, rel. 342, hkl 4 4 2

***

Diffraction record for Rb3SrCu2F9. The powder diffractogram is computed, not measured: it uses a crystal structure in Alexandria, relaxed with PBE and copper Kα.

Structure:
```
data_Rb3SrCu2F9
_cell_length_a 6.0993
_cell_length_b 6.0993
_cell_length_c 7.6204
_cell_angle_alpha 90.00
_cell_angle_beta 90.00
_cell_angle_gamma 120.00
_space_group_name_H-M_alt 'P -3 m 1'
_space_group_IT_number 164
_space_group_name_Hall '-P 3 2"'
loop_
_atom_site_label
_atom_site_type_symbol
_atom_site_fract_x
_atom_site_fract_y
_atom_site_fract_z
Rb1 Rb 0.0000 0.0000 0.0000
Rb2 Rb 0.3333 0.6667 0.6879
Sr1 Sr 0.0000 0.0000 0.5000
Cu1 Cu 0.3333 0.6667 0.1512
F1 F 0.0000 0.5000 0.0000
F2 F 0.1777 0.3555 0.3091
```

Main lines, sorted by position (10 to 80 degrees two-theta):
- 3.090 Å, rel. 1000, hkl 0 1 2
- 3.050 Å, rel. 982, hkl 1 1 0
- 2.171 Å, rel. 848, hkl 2 0 2
- 1.792 Å, rel. 176, hkl 1 0 4
- 1.768 Å, rel. 374, hkl 1 2 2
- 1.761 Å, rel. 194, hkl 3 0 0
- 1.545 Å, rel. 229, hkl 0 2 4
- 1.525 Å, rel. 264, hkl 2 2 0
- 1.378 Å, rel. 161, hkl 2 1 4
- 1.367 Å, rel. 172, hkl 3 1 2

***

Diffraction record for V3IrRh6. The powder diffractogram is computed, not measured: it uses a crystal structure in Alexandria, relaxed with PBE and copper Kα.

Structure:
```
data_V3IrRh6
_cell_length_a 8.224
_cell_length_b 14.929
_cell_length_c 4.730
_cell_angle_alpha 90.00
_cell_angle_beta 90.00
_cell_angle_gamma 90.00
_space_group_name_H-M_alt 'C m c 21'
_space_group_IT_number 36
loop_
_space_group_symop_operation_xyz
'x,y,z'
'-x,-y,z+1/2'
'-x,y,z'
'x,-y,z+1/2'
'x+1/2,y+1/2,z'
'-x+1/2,-y+1/2,z+1/2'
'-x+1/2,y+1/2,z'
'x+1/2,-y+1/2,z+1/2'
loop_
_atom_site_label
_atom_site_type_symbol
_atom_site_fract_x
_atom_site_fract_y
_atom_site_fract_z
V1 V 0.000 0.110 0.000
V2 V 0.167 0.396 0.708
Ir1 Ir 0.000 0.286 0.955
Rh1 Rh 0.000 0.188 0.450
Rh2 Rh 0.000 0.449 0.223
Rh3 Rh 0.167 0.036 0.606
Rh4 Rh 0.239 0.304 0.313
```

Main lines, sorted by position (10 to 80 degrees two-theta):
- 2.401 Å, rel. 184, hkl 3 3 0
- 2.386 Å, rel. 1000, hkl 2 4 1
- 2.255 Å, rel. 407, hkl 0 2 2
- 2.202 Å, rel. 502, hkl 0 6 1
- 2.141 Å, rel. 280, hkl 3 3 1
- 2.050 Å, rel. 176, hkl 2 0 2
- 1.982 Å, rel. 193, hkl 4 2 0
- 1.977 Å, rel. 364, hkl 2 2 2
- 1.941 Å, rel. 304, hkl 2 6 1
- 1.857 Å, rel. 187, hkl 3 5 1

***

Diffraction record for Na4BrOF. The powder diffractogram is computed, not measured: it uses a crystal structure in Alexandria, relaxed with PBE and copper Kα.

Structure:
```
data_Na4BrOF
_cell_length_a 4.468
_cell_length_b 4.468
_cell_length_c 13.855
_cell_angle_alpha 90.00
_cell_angle_beta 90.00
_cell_angle_gamma 90.00
_space_group_name_H-M_alt 'I 4 m m'
_space_group_IT_number 107
_space_group_name_Hall 'I 4 -2'
loop_
_atom_site_label
_atom_site_type_symbol
_atom_site_fract_x
_atom_site_fract_y
_atom_site_fract_z
Na1 Na 0.000 0.000 0.000
Na2 Na 0.000 0.000 0.332
Na3 Na 0.000 0.500 0.180
Br1 Br 0.000 0.000 0.526
O1 O 0.000 0.000 0.173
F1 F 0.000 0.000 0.829
```

Main lines, sorted by position (10 to 80 degrees two-theta):
- 6.927 Å, rel. 567, hkl 0 0 2
- 4.252 Å, rel. 621, hkl 1 0 1
- 3.211 Å, rel. 636, hkl 1 0 3
- 3.159 Å, rel. 825, hkl 1 1 0
- 2.874 Å, rel. 1000, hkl 1 1 2
- 2.355 Å, rel. 321, hkl 1 0 5
- 2.334 Å, rel. 995, hkl 1 1 4
- 2.309 Å, rel. 449, hkl 0 0 6
- 2.234 Å, rel. 989, hkl 2 0 0
- 1.605 Å, rel. 522, hkl 2 0 6

***

Diffraction record for LaNd2Tm7. The powder diffractogram is computed, not measured: it uses a crystal structure in Alexandria, relaxed with PBE and copper Kα.

Structure:
```
data_LaNd2Tm7
_cell_length_a 6.117
_cell_length_b 7.097
_cell_length_c 7.970
_cell_angle_alpha 76.77
_cell_angle_beta 75.16
_cell_angle_gamma 73.98
_space_group_name_H-M_alt 'P -1'
_space_group_IT_number 2
loop_
_space_group_symop_operation_xyz
'x,y,z'
'-x,-y,-z'
loop_
_atom_site_label
_atom_site_type_symbol
_atom_site_fract_x
_atom_site_fract_y
_atom_site_fract_z
La1 La 0.000 0.000 0.000
Nd1 Nd 0.204 0.796 0.599
Tm1 Tm 0.000 0.500 0.000
Tm2 Tm 0.199 0.302 0.600
Tm3 Tm 0.400 0.101 0.200
Tm4 Tm 0.402 0.598 0.198
```

Main lines, sorted by position (10 to 80 degrees two-theta):
- 2.901 Å, rel. 1000, hkl 1 2 2
- 2.895 Å, rel. 331, hkl 2 0 1
- 2.531 Å, rel. 230, hkl -1 2 1
- 2.516 Å, rel. 226, hkl 1 0 3
- 2.488 Å, rel. 219, hkl 2 2 0
- 1.774 Å, rel. 159, hkl 1 4 1
- 1.769 Å, rel. 158, hkl 3 2 3
- 1.525 Å, rel. 97, hkl 0 4 3
- 1.521 Å, rel. 96, hkl 3 -2 0
- 1.504 Å, rel. 186, hkl 4 2 1

***

Diffraction record for Ga2SiB2Ir5. The powder diffractogram is computed, not measured: it uses a crystal structure in Alexandria, relaxed with PBE and copper Kα.

Structure:
```
data_Ga2SiB2Ir5
_cell_length_a 9.282
_cell_length_b 9.282
_cell_length_c 3.005
_cell_angle_alpha 90.00
_cell_angle_beta 90.00
_cell_angle_gamma 90.00
_space_group_name_H-M_alt 'P 4/m b m'
_space_group_IT_number 127
_space_group_name_Hall '-P 4 2ab'
loop_
_atom_site_label
_atom_site_type_symbol
_atom_site_fract_x
_atom_site_fract_y
_atom_site_fract_z
Ga1 Ga 0.174 0.326 0.000
Si1 Si 0.000 0.000 0.000
B1 B 0.126 0.626 0.000
Ir1 Ir 0.000 0.500 0.500
Ir2 Ir 0.081 0.794 0.500
```

Main lines, sorted by position (10 to 80 degrees two-theta):
- 3.005 Å, rel. 681, hkl 0 0 1
- 2.935 Å, rel. 470, hkl 3 1 0
- 2.574 Å, rel. 480, hkl 3 2 0
- 2.434 Å, rel. 523, hkl 2 1 1
- 2.251 Å, rel. 823, hkl 4 1 0
- 2.100 Å, rel. 1000, hkl 3 1 1
- 2.076 Å, rel. 399, hkl 4 2 0
- 1.955 Å, rel. 567, hkl 3 2 1
- 1.802 Å, rel. 305, hkl 4 1 1
- 1.203 Å, rel. 396, hkl 5 5 1